For BaFeClO2, DFT lattice parameters and positions (PBE+U) gives the theoretical PXRD pattern in this record (λ = 1.5418 Å (Cu Kα)).
Intensities are scaled so that the largest is 100.

Principal peaks in the range 2θ = 10–80°, in order of rising 2θ:
2θ (°), I/Imax, hkl
20.8, 91, 0 2 1
23.2, 32, 1 1 1
24.8, 100, 1 3 0
29.8, 80, 1 3 1
30.7, 41, 2 0 0
32.7, 34, 0 0 2
37.4, 40, 2 2 1
40.0, 32, 1 5 1
41.5, 42, 1 3 2
45.5, 45, 2 0 2

Structure:
```
data_BaFeClO2
_chemical_formula_sum 'Ba4 Fe4 Cl4 O8'
_cell_length_a 5.8271
_cell_length_b 13.6471
_cell_length_c 5.4741
_cell_angle_alpha 90.00
_cell_angle_beta 90.00
_cell_angle_gamma 90.00
_symmetry_space_group_name_H-M 'C m c m'
_symmetry_Int_Tables_number 63
_symmetry_space_group_name_Hall '-C 2c 2'
loop_
_atom_site_label
_atom_site_type_symbol
_atom_site_fract_x
_atom_site_fract_y
_atom_site_fract_z
Ba1 Ba 0.0000 0.1295 0.2500
Fe1 Fe 0.0000 0.4913 0.2500
Cl1 Cl 0.0000 0.2536 0.7500
O1 O 0.2183 0.5000 0.0000
```

---

For Ba10Fe8Pt2Cl2O25, DFT lattice parameters and positions (PBE+U) gives the theoretical PXRD pattern in this record (λ = 1.5418 Å (Cu Kα)).
Intensities are scaled so that the largest is 100.

Principal peaks in the range 2θ = 10–80°, in order of rising 2θ:
2θ (°), I/Imax, hkl
22.4, 22, 1 0 4
24.8, 18, 1 0 5
30.2, 100, 1 1 0
30.4, 40, 1 0 7
33.5, 17, 1 0 8
39.4, 19, 2 0 5
41.9, 20, 1 1 8
43.4, 17, 2 0 7
53.6, 20, 3 0 0
62.7, 17, 2 2 0

Structure:
```
data_Ba10Fe8Pt2Cl2O25
_chemical_formula_sum 'Ba10 Fe8 Pt2 Cl2 O25'
_cell_length_a 5.9244
_cell_length_b 5.9244
_cell_length_c 25.0997
_cell_angle_alpha 90.00
_cell_angle_beta 90.00
_cell_angle_gamma 120.00
_symmetry_space_group_name_H-M 'P -6 m 2'
_symmetry_Int_Tables_number 187
_symmetry_space_group_name_Hall 'P -6 2'
loop_
_atom_site_label
_atom_site_type_symbol
_atom_site_fract_x
_atom_site_fract_y
_atom_site_fract_z
Ba1 Ba 0.0000 0.0000 0.0000
Ba2 Ba 0.0000 0.0000 0.5000
Ba3 Ba 0.3333 0.6667 0.1236
Ba4 Ba 0.3333 0.6667 0.2885
Ba5 Ba 0.6667 0.3333 0.2120
Ba6 Ba 0.6667 0.3333 0.3805
Fe1 Fe 0.0000 0.0000 0.1429
Fe2 Fe 0.0000 0.0000 0.3625
Fe3 Fe 0.3333 0.6667 0.4301
Fe4 Fe 0.6667 0.3333 0.0738
Pt1 Pt 0.0000 0.0000 0.2539
Cl1 Cl 0.3333 0.6667 0.0000
Cl2 Cl 0.6667 0.3333 0.5000
O1 O 0.1539 0.3078 0.2034
O2 O 0.1602 0.3203 0.4092
O3 O 0.3043 0.1521 0.3058
O4 O 0.3265 0.1632 0.1026
O5 O 0.6667 0.3333 0.0000
```